(1)
# Pu2MgGaAu6
Calculated powder X-ray diffraction pattern, Cu Kα, 1.54184 Å. Input: a DFT-relaxed cell (GGA-PBE, Alexandria).
Intensities are scaled so that the largest is 100.

Peak list (10 most intense, 10 to 80 degrees two-theta, sorted by position)
Position (°2θ)	Rel. int.
10.10	87
20.28	56
24.73	22
32.77	27
36.93	75
37.18	37
37.55	38
38.74	27
38.94	100
65.53	21

Cell and atoms:
a = 5.698 Å, b = 5.698 Å, c = 9.333 Å
α = 107.39°, β = 107.39°, γ = 60.32°
Positions (direct):
Pu 0.193 0.193 0.081
Pu 0.807 0.807 0.919
Mg 0.000 0.000 0.500
Ga 0.500 0.500 0.000
Au 0.245 0.747 0.245
Au 0.252 0.252 0.754
Au 0.253 0.755 0.755
Au 0.747 0.245 0.245
Au 0.748 0.748 0.246
Au 0.755 0.253 0.755



(2)
# LiEr5Ga4
Calculated powder X-ray diffraction pattern, Cu Kα, 1.54184 Å. Input: a DFT-relaxed cell (GGA-PBE, Alexandria).
Intensities are scaled so that the largest is 100.

Peak list (10 most intense, 10 to 80 degrees two-theta, sorted by position)
Position (°2θ)	Rel. int.
26.61	63
29.55	35
31.43	100
32.80	32
33.34	24
39.04	30
41.19	18
43.68	50
45.05	31
54.83	34

Cell and atoms:
a = 7.045 Å, b = 7.045 Å, c = 7.045 Å
α = 100.61°, β = 100.61°, γ = 129.18°
Positions (direct):
Li 0.000 0.000 0.000
Er 0.162 0.566 0.243
Er 0.322 0.919 0.757
Er 0.524 0.524 0.000
Er 0.566 0.322 0.403
Er 0.919 0.162 0.597
Ga 0.018 0.865 0.364
Ga 0.500 0.653 0.636
Ga 0.653 0.018 0.153
Ga 0.865 0.500 0.847



(3)
# LaHo5Ag4
Calculated powder X-ray diffraction pattern, Cu Kα, 1.54184 Å. Input: a DFT-relaxed cell (GGA-PBE, Alexandria).
Intensities are scaled so that the largest is 100.

Peak list (10 most intense, 10 to 80 degrees two-theta, sorted by position)
Position (°2θ)	Rel. int.
30.67	11
33.56	100
35.35	65
36.82	29
50.26	7
50.86	23
62.32	33
62.94	14
64.42	11
74.30	9

Cell and atoms:
a = 3.591 Å, b = 3.591 Å, c = 19.969 Å
α = 90.00°, β = 90.00°, γ = 90.00°
Positions (direct):
La 0.000 0.000 0.000
Ho 0.500 0.500 0.132
Ho 0.500 0.500 0.315
Ho 0.500 0.500 0.500
Ho 0.500 0.500 0.685
Ho 0.500 0.500 0.868
Ag 0.000 0.000 0.223
Ag 0.000 0.000 0.408
Ag 0.000 0.000 0.592
Ag 0.000 0.000 0.777



(4)
# Pm2Nd2Ho5
Calculated powder X-ray diffraction pattern, Cu Kα, 1.54184 Å. Input: a DFT-relaxed cell (GGA-PBE, Alexandria).
Intensities are scaled so that the largest is 100.

Peak list (10 most intense, 10 to 80 degrees two-theta, sorted by position)
Position (°2θ)	Rel. int.
25.72	33
27.72	27
28.29	27
29.71	100
32.33	50
33.77	35
34.62	45
36.15	54
42.67	35
52.23	19

Cell and atoms:
a = 3.503 Å, b = 8.341 Å, c = 10.884 Å
α = 80.25°, β = 80.74°, γ = 89.98°
Positions (direct):
Pm 0.045 0.355 0.409
Pm 0.955 0.645 0.591
Nd 0.313 0.855 0.873
Nd 0.687 0.145 0.127
Ho 0.190 0.522 0.120
Ho 0.399 0.260 0.703
Ho 0.500 0.000 0.500
Ho 0.601 0.740 0.297
Ho 0.810 0.478 0.880